No. 1
Diffraction record for MgZn3. The powder XRD pattern is simulated, not measured: it uses a cell relaxed with PBE and Cu Kα X-rays.
No peak broadening, texture or thermal motion is included.

Unit cell a=2.9220 b=9.3909 c=4.8472 alpha=90.00 beta=90.00 gamma=90.00
Space group Imm2 (No. 44)
Asymmetric unit:
Mg (0.0000, 0.0000, 0.0000) [2 per cell]
Zn (0.0000, 0.2486, 0.3371) [4 per cell]
Zn (0.0000, 0.5000, 0.0057) [2 per cell]

Top 10 peaks for 10° ≤ 2θ ≤ 90°, in order of falling intensity:
| 2theta | d (Å) | I (rel.) | hkl |
| --- | --- | --- | --- |
| 40.86 | 2.208 | 100 | 1 2 1 |
| 41.95 | 2.154 | 46 | 0 2 2 |
| 38.34 | 2.348 | 40 | 0 4 0 |
| 35.89 | 2.502 | 27 | 1 0 1 |
| 79.05 | 1.211 | 18 | 1 4 3 |
| 71.04 | 1.327 | 18 | 1 6 1 |
| 53.52 | 1.712 | 16 | 1 4 1 |
| 66.08 | 1.414 | 15 | 1 0 3 |
| 20.62 | 4.307 | 14 | 0 1 1 |
| 79.23 | 1.209 | 13 | 2 2 2 |

---

No. 2
Diffraction record for V3Ag. The powder XRD pattern is simulated, not measured: it uses a cell relaxed with PBE and Cu Kα X-rays.
No peak broadening, texture or thermal motion is included.

Unit cell a=3.8707 b=3.8707 c=7.9097 alpha=90.00 beta=90.00 gamma=90.00
Space group I4/mmm (No. 139)
Asymmetric unit:
V (0.0000, 0.0000, 0.0000) [2 per cell]
V (0.0000, 0.5000, 0.2500) [4 per cell]
Ag (0.0000, 0.0000, 0.5000) [2 per cell]

Top 10 peaks for 10° ≤ 2θ ≤ 90°, in order of falling intensity:
| 2theta | d (Å) | I (rel.) | hkl |
| --- | --- | --- | --- |
| 40.06 | 2.251 | 100 | 1 1 2 |
| 46.95 | 1.935 | 31 | 2 0 0 |
| 82.49 | 1.169 | 21 | 3 1 2 |
| 67.75 | 1.383 | 19 | 2 0 4 |
| 25.62 | 3.477 | 18 | 1 0 1 |
| 45.89 | 1.977 | 16 | 0 0 4 |
| 80.95 | 1.188 | 11 | 1 1 6 |
| 86.48 | 1.125 | 9 | 2 2 4 |
| 68.57 | 1.368 | 9 | 2 2 0 |
| 22.48 | 3.955 | 6 | 0 0 2 |

---

What did the second record say?
Diffraction record for V3Ag. The powder XRD pattern is simulated, not measured: it uses a cell relaxed with PBE and Cu Kα X-rays.
No peak broadening, texture or thermal motion is included.

Unit cell a=3.8707 b=3.8707 c=7.9097 alpha=90.00 beta=90.00 gamma=90.00
Space group I4/mmm (No. 139)
Asymmetric unit:
V (0.0000, 0.0000, 0.0000) [2 per cell]
V (0.0000, 0.5000, 0.2500) [4 per cell]
Ag (0.0000, 0.0000, 0.5000) [2 per cell]

Top 10 peaks for 10° ≤ 2θ ≤ 90°, in order of falling intensity:
| 2theta | d (Å) | I (rel.) | hkl |
| --- | --- | --- | --- |
| 40.06 | 2.251 | 100 | 1 1 2 |
| 46.95 | 1.935 | 31 | 2 0 0 |
| 82.49 | 1.169 | 21 | 3 1 2 |
| 67.75 | 1.383 | 19 | 2 0 4 |
| 25.62 | 3.477 | 18 | 1 0 1 |
| 45.89 | 1.977 | 16 | 0 0 4 |
| 80.95 | 1.188 | 11 | 1 1 6 |
| 86.48 | 1.125 | 9 | 2 2 4 |
| 68.57 | 1.368 | 9 | 2 2 0 |
| 22.48 | 3.955 | 6 | 0 0 2 |